For MnNbCd, the PBE geometry in Alexandria gives the simulated X-ray powder pattern in this record (CuKα).
Neutral-atom scattering factors, no anomalous dispersion.

Atomic structure:
abc: 5.298 5.298 7.218
angles: 102.23 102.23 32.46
Fractional positions:
Mn 0.000 0.000 0.000
Mn 0.648 0.648 0.213
Nb 0.095 0.095 0.449
Nb 0.356 0.356 0.213
Cd 0.394 0.394 0.639
Cd 0.704 0.704 0.844

Largest 10 diffraction maxima, in order of rising 2θ, 10 to 90 degrees two-theta:
2θ (°), Rel. int.
33.28, 29
34.33, 61
35.62, 36
38.65, 40
39.52, 100
40.90, 73
44.82, 17
52.10, 21
62.69, 32
72.42, 19